CrTeW2O12: calculated X-ray powder pattern (Cu Ka), based on a DFT-relaxed cell (GGA+U, Alexandria).

Most intense lines, 15 to 90 degrees two-theta, sorted by position:
two_theta, I_rel, hkl
20.9, 11.7, 1 0 -1
24.0, 100.0, 1 -1 0
33.5, 8.8, 0 2 0
33.7, 19.6, 1 1 -2
34.7, 22.1, 2 0 0
42.6, 7.6, 2 0 -2
49.0, 15.7, 2 -2 0
54.6, 15.0, 2 -2 2
56.0, 9.6, -2 2 2
61.5, 7.3, 3 -1 2

Cell and atoms:
a = 5.169 Å, b = 5.348 Å, c = 7.431 Å
α = 92.26°, β = 90.01°, γ = 90.05°
Positions (direct):
Cr (0.000, 0.000, 0.000)
Te (0.497, 0.439, 0.532)
W (0.506, 0.497, 0.031)
W (0.987, 0.940, 0.501)
O (0.090, 0.952, 0.788)
O (0.198, 0.229, 0.071)
O (0.199, 0.643, 0.484)
O (0.281, 0.747, 0.075)
O (0.295, 0.141, 0.482)
O (0.396, 0.434, 0.782)
O (0.592, 0.435, 0.280)
O (0.699, 0.737, 0.581)
O (0.721, 0.153, 0.980)
O (0.795, 0.235, 0.584)
O (0.796, 0.666, 0.984)
O (0.901, 0.944, 0.269)